The following is a calculated powder X-ray diffraction pattern of HfZr2Ni2As4Pd2. It was derived from a PBE-relaxed structure, using Cu Ka.

Most intense lines, 5 to 70 degrees two-theta, sorted by position:
| 2theta | Rel. int. |
| --- | --- |
| 11.85 | 44 |
| 35.74 | 69 |
| 36.16 | 100 |
| 37.65 | 92 |
| 37.91 | 54 |
| 38.49 | 36 |
| 43.15 | 99 |
| 46.69 | 67 |

Structural model:
```
11
Lattice="6.581 0.000 0.000 0.000 3.891 0.000 -0.108 0.000 7.466" Properties=species:S:1:pos:R:3 pbc="T T T"
Hf 0.000 0.000 0.000
Zr 2.870 1.946 3.841
Zr 3.356 0.000 0.979
Ni 2.213 1.946 6.555
Ni 3.850 0.000 5.723
As 1.380 0.000 5.322
As 1.457 1.946 1.356
As 4.671 1.946 6.823
As 4.759 0.000 3.480
Pd 0.744 0.000 2.898
Pd 5.391 1.946 1.943
```



The following is a calculated powder X-ray diffraction pattern of Lu4SbC2S. It was derived from a PBE-relaxed structure, using Cu Ka.

Most intense lines, 5 to 70 degrees two-theta, sorted by position:
| 2theta | Rel. int. |
| --- | --- |
| 28.66 | 31 |
| 29.42 | 13 |
| 31.59 | 14 |
| 34.94 | 100 |
| 50.77 | 28 |
| 62.18 | 15 |
| 63.12 | 18 |
| 66.34 | 12 |

Structural model:
```
8
Lattice="3.597 0.000 0.000 -1.798 3.115 0.000 0.000 0.000 13.608" Properties=species:S:1:pos:R:3 pbc="T T T"
Lu 0.000 0.000 1.835
Lu 0.000 0.000 11.772
Lu 0.000 2.077 4.392
Lu 0.000 2.077 9.215
Sb 0.000 0.000 6.804
C 1.798 1.038 3.142
C 1.798 1.038 10.466
S 0.000 2.077 0.000
```



The following is a calculated powder X-ray diffraction pattern of BaScZnTe3. It was derived from a PBE-relaxed structure, using Cu Ka.

Most intense lines, 5 to 70 degrees two-theta, sorted by position:
| 2theta | Rel. int. |
| --- | --- |
| 26.77 | 50 |
| 28.00 | 100 |
| 28.54 | 35 |
| 31.33 | 45 |
| 32.02 | 29 |
| 32.16 | 28 |
| 40.76 | 30 |
| 49.24 | 35 |

Structural model:
```
12
Lattice="2.213 -7.560 0.000 2.213 7.560 0.000 0.000 0.000 11.133" Properties=species:S:1:pos:R:3 pbc="T T T"
Ba 2.213 3.932 8.350
Ba 2.213 -3.932 2.783
Sc 0.000 0.000 0.000
Sc 0.000 0.000 5.567
Zn 2.213 0.435 2.783
Zn 2.213 -0.435 8.350
Te 2.213 6.438 2.783
Te 2.213 1.988 0.592
Te 2.213 1.988 4.975
Te 2.213 -1.988 6.158
Te 2.213 -1.988 10.542
Te 2.213 -6.438 8.350
```